Diffraction record for Mg3AlSi3O12. The PXRD pattern is simulated, not measured: it uses a PBE-relaxed structure and Cu Kα, 1.54184 Å.
Lines closer than 0.1° are merged.

Most intense lines, 10 to 90 degrees two-theta, most intense first:
Position (°2θ)	intensity
21.15	100
24.40	100
18.73	100
34.61	98
36.92	91
30.64	77
21.98	67
36.82	49
12.13	43
34.33	43

Structure:
```
Mg3AlSi3O12
1.0
2.7537 -4.6600 0.0000
2.7537 4.6600 0.0000
-1.2842 0.0000 29.1815
Mg Al Si O
6 2 6 24
Direct
0.0872 0.9128 0.5000 Mg
0.2652 0.7578 0.0008 Mg
0.4503 0.6247 0.5008 Mg
0.6247 0.4503 0.0008 Mg
0.7578 0.2652 0.5008 Mg
0.9128 0.0872 0.0000 Mg
0.0727 0.5587 0.4046 Al
0.5587 0.0727 0.9046 Al
0.4625 0.9655 0.5964 Si
0.6300 0.7971 0.0963 Si
0.7339 0.9018 0.4048 Si
0.7971 0.6300 0.5963 Si
0.9018 0.7339 0.9048 Si
0.9655 0.4625 0.0964 Si
0.0831 0.5783 0.4662 O
0.1304 0.2872 0.5282 O
0.1339 0.8034 0.6136 O
0.2131 0.8879 0.8841 O
0.2537 0.4017 0.9703 O
0.2872 0.1304 0.0282 O
0.3017 0.6355 0.1139 O
0.4017 0.2537 0.4703 O
0.4123 0.7344 0.3848 O
0.4514 0.9514 0.5397 O
0.5783 0.0831 0.9662 O
0.6165 0.7819 0.0398 O
0.6337 0.8017 0.6146 O
0.6355 0.3017 0.6139 O
0.7344 0.4123 0.8848 O
0.7342 0.8938 0.8861 O
0.7467 0.9202 0.4618 O
0.7819 0.6165 0.5398 O
0.8017 0.6337 0.1146 O
0.8034 0.1339 0.1136 O
0.8879 0.2131 0.3841 O
0.8938 0.7342 0.3861 O
0.9202 0.7467 0.9618 O
0.9514 0.4514 0.0397 O
```